Entry 1:
Structure and theoretical powder diffractogram of Tl2BH2Se2 (a DFT-relaxed cell (PBE, Alexandria); a wavelength of 1.5418 Å).

Top 10 peaks for 10 to 90 degrees two-theta, in order of rising 2θ:
2θ (°)	intensity
15.32	75
27.68	86
28.18	100
29.56	74
30.80	78
30.92	78
31.74	75
41.70	33
44.17	28
52.53	30

Structure:
```
data_Tl2BH2Se2
_chemical_formula_sum 'Tl2 B1 H2 Se2'
_cell_length_a 4.047
_cell_length_b 6.654
_cell_length_c 6.800
_cell_angle_alpha 114.39
_cell_angle_beta 105.23
_cell_angle_gamma 98.23
_symmetry_space_group_name_H-M 'P -1'
_symmetry_Int_Tables_number 2
loop_
_symmetry_equiv_pos_as_xyz
'x,y,z'
'-x,-y,-z'
loop_
_atom_site_label
_atom_site_type_symbol
_atom_site_fract_x
_atom_site_fract_y
_atom_site_fract_z
Tl1 Tl 0.161 0.231 0.475
B1 B 0.000 0.500 0.000
H1 H 0.332 0.684 0.521
Se1 Se 0.251 0.766 0.027
```



Entry 2:
Structure and theoretical powder diffractogram of AcPm3Tl (a DFT-relaxed cell (PBE, Alexandria); a wavelength of 1.5418 Å).

Top 10 peaks for 10 to 90 degrees two-theta, in order of rising 2θ:
2θ (°)	intensity
22.62	26
29.43	100
30.36	85
31.55	55
36.18	12
37.82	15
39.17	12
49.05	11
54.88	18
55.44	16

Structure:
```
data_AcPm3Tl
_chemical_formula_sum 'Ac4 Pm12 Tl4'
_cell_length_a 10.837
_cell_length_b 5.671
_cell_length_c 11.425
_cell_angle_alpha 90.00
_cell_angle_beta 90.00
_cell_angle_gamma 90.00
_symmetry_space_group_name_H-M 'P n m a'
_symmetry_Int_Tables_number 62
loop_
_symmetry_equiv_pos_as_xyz
'x,y,z'
'-x,-y,-z'
'-x+1/2,-y,z+1/2'
'x+1/2,y,-z+1/2'
'x+1/2,-y+1/2,-z+1/2'
'-x+1/2,y+1/2,z+1/2'
'-x,y+1/2,-z'
'x,-y+1/2,z'
loop_
_atom_site_label
_atom_site_type_symbol
_atom_site_fract_x
_atom_site_fract_y
_atom_site_fract_z
Ac1 Ac 0.224 0.250 0.014
Pm1 Pm 0.090 0.250 0.613
Pm2 Pm 0.101 0.750 0.176
Pm3 Pm 0.138 0.750 0.846
Tl1 Tl 0.071 0.250 0.338
```



Entry 3:
Structure and theoretical powder diffractogram of BaSnHgS4 (a DFT-relaxed cell (PBE, Alexandria); a wavelength of 1.5418 Å).

Top 10 peaks for 10 to 90 degrees two-theta, in order of rising 2θ:
2θ (°)	intensity
15.98	43
22.28	100
22.76	56
27.68	78
32.15	26
32.29	39
35.18	82
42.22	27
43.04	47
46.36	32

Structure:
```
data_BaSnHgS4
_chemical_formula_sum 'Ba4 Sn4 Hg4 S16'
_cell_length_a 11.090
_cell_length_b 11.012
_cell_length_c 6.735
_cell_angle_alpha 90.00
_cell_angle_beta 90.00
_cell_angle_gamma 90.00
_symmetry_space_group_name_H-M 'A m a 2'
_symmetry_Int_Tables_number 40
loop_
_symmetry_equiv_pos_as_xyz
'x,y,z'
'-x,-y,z'
'-x+1/2,y,z'
'x+1/2,-y,z'
'x,y+1/2,z+1/2'
'-x,-y+1/2,z+1/2'
'-x+1/2,y+1/2,z+1/2'
'x+1/2,-y+1/2,z+1/2'
loop_
_atom_site_label
_atom_site_type_symbol
_atom_site_fract_x
_atom_site_fract_y
_atom_site_fract_z
Ba1 Ba 0.000 0.000 0.000
Sn1 Sn 0.250 0.213 0.489
Hg1 Hg 0.250 0.331 0.949
S1 S 0.082 0.236 0.718
S2 S 0.250 0.053 0.249
S3 S 0.250 0.403 0.296
```



Entry 4:
Structure and theoretical powder diffractogram of PmPr2Ho2 (a DFT-relaxed cell (PBE, Alexandria); a wavelength of 1.5418 Å).

Top 10 peaks for 10 to 90 degrees two-theta, in order of rising 2θ:
2θ (°)	intensity
25.80	19
28.06	20
28.37	25
29.98	31
30.40	27
31.52	100
32.50	21
35.88	27
36.85	30
52.25	24

Structure:
```
data_PmPr2Ho2
_chemical_formula_sum 'Pm4 Pr8 Ho8'
_cell_length_a 6.892
_cell_length_b 16.528
_cell_length_c 6.292
_cell_angle_alpha 90.00
_cell_angle_beta 90.00
_cell_angle_gamma 90.00
_symmetry_space_group_name_H-M 'C m c m'
_symmetry_Int_Tables_number 63
_symmetry_space_group_name_Hall '-C 2c 2'
loop_
_atom_site_label
_atom_site_type_symbol
_atom_site_fract_x
_atom_site_fract_y
_atom_site_fract_z
Pm1 Pm 0.000 0.000 0.000
Pr1 Pr 0.000 0.171 0.250
Pr2 Pr 0.000 0.396 0.750
Ho1 Ho 0.240 0.171 0.750
```



Entry 5:
Structure and theoretical powder diffractogram of Pm7Y2Tl2 (a DFT-relaxed cell (PBE, Alexandria); a wavelength of 1.5418 Å).

Top 10 peaks for 10 to 90 degrees two-theta, in order of rising 2θ:
2θ (°)	intensity
25.05	16
30.08	48
30.53	34
31.25	100
31.91	16
33.01	28
35.16	22
36.52	16
49.41	16
55.65	24

Structure:
```
data_Pm7Y2Tl2
_chemical_formula_sum 'Pm14 Y4 Tl4'
_cell_length_a 3.689
_cell_length_b 20.417
_cell_length_c 9.907
_cell_angle_alpha 90.00
_cell_angle_beta 90.00
_cell_angle_gamma 90.00
_symmetry_space_group_name_H-M 'I m m 2'
_symmetry_Int_Tables_number 44
loop_
_symmetry_equiv_pos_as_xyz
'x,y,z'
'-x,-y,z'
'-x,y,z'
'x,-y,z'
'x+1/2,y+1/2,z+1/2'
'-x+1/2,-y+1/2,z+1/2'
'-x+1/2,y+1/2,z+1/2'
'x+1/2,-y+1/2,z+1/2'
loop_
_atom_site_label
_atom_site_type_symbol
_atom_site_fract_x
_atom_site_fract_y
_atom_site_fract_z
Pm1 Pm 0.000 0.000 0.000
Pm2 Pm 0.000 0.130 0.463
Pm3 Pm 0.000 0.338 0.661
Pm4 Pm 0.000 0.365 0.287
Y1 Y 0.000 0.000 0.653
Y2 Y 0.000 0.500 0.822
Tl1 Tl 0.000 0.244 0.947
```



Entry 6:
Structure and theoretical powder diffractogram of TiBe5Pd (a DFT-relaxed cell (PBE, Alexandria); a wavelength of 1.5418 Å).

Top 10 peaks for 10 to 90 degrees two-theta, in order of rising 2θ:
2θ (°)	intensity
15.60	39
23.02	100
26.41	34
31.25	35
32.37	34
36.30	31
38.44	49
42.38	24
47.56	32
52.00	25

Structure:
```
data_TiBe5Pd
_chemical_formula_sum 'Ti4 Be20 Pd4'
_cell_length_a 7.265
_cell_length_b 4.265
_cell_length_c 9.115
_cell_angle_alpha 90.00
_cell_angle_beta 90.00
_cell_angle_gamma 90.00
_symmetry_space_group_name_H-M 'P n m a'
_symmetry_Int_Tables_number 62
loop_
_symmetry_equiv_pos_as_xyz
'x,y,z'
'-x,-y,-z'
'-x+1/2,-y,z+1/2'
'x+1/2,y,-z+1/2'
'x+1/2,-y+1/2,-z+1/2'
'-x+1/2,y+1/2,z+1/2'
'-x,y+1/2,-z'
'x,-y+1/2,z'
loop_
_atom_site_label
_atom_site_type_symbol
_atom_site_fract_x
_atom_site_fract_y
_atom_site_fract_z
Ti1 Ti 0.240 0.250 0.066
Be1 Be 0.038 0.750 0.106
Be2 Be 0.059 0.004 0.313
Be3 Be 0.078 0.250 0.516
Be4 Be 0.198 0.250 0.742
Pd1 Pd 0.144 0.750 0.865
```



Entry 7:
Structure and theoretical powder diffractogram of Na2PuI4 (a DFT-relaxed cell (PBE, Alexandria); a wavelength of 1.5418 Å).

Top 10 peaks for 10 to 90 degrees two-theta, in order of rising 2θ:
2θ (°)	intensity
11.44	56
14.71	33
23.00	31
26.26	100
27.33	47
34.38	23
37.48	42
38.26	84
47.00	39
68.14	25

Structure:
```
data_Na2PuI4
_chemical_formula_sum 'Na8 Pu4 I16'
_cell_length_a 9.599
_cell_length_b 9.599
_cell_length_c 13.054
_cell_angle_alpha 90.00
_cell_angle_beta 90.00
_cell_angle_gamma 90.00
_symmetry_space_group_name_H-M 'P 41 2 2'
_symmetry_Int_Tables_number 91
loop_
_symmetry_equiv_pos_as_xyz
'x,y,z'
'-y,x,z+1/4'
'-x,-y,z+1/2'
'y,-x,z+3/4'
'x,-y,-z+1/2'
'-y,-x,-z+1/4'
'-x,y,-z'
'y,x,-z+3/4'
loop_
_atom_site_label
_atom_site_type_symbol
_atom_site_fract_x
_atom_site_fract_y
_atom_site_fract_z
Na1 Na 0.000 0.245 0.000
Na2 Na 0.242 0.242 0.375
Pu1 Pu 0.255 0.500 0.750
I1 I 0.026 0.255 0.753
I2 I 0.254 0.485 0.996
```



Entry 8:
Structure and theoretical powder diffractogram of BaPdCl4 (a DFT-relaxed cell (PBE, Alexandria); a wavelength of 1.5418 Å).

Top 10 peaks for 10 to 90 degrees two-theta, in order of rising 2θ:
2θ (°)	intensity
16.82	100
28.97	46
30.10	36
34.02	13
35.32	32
36.96	14
45.00	12
46.31	23
47.07	17
60.02	13

Structure:
```
data_BaPdCl4
_chemical_formula_sum 'Ba2 Pd2 Cl8'
_cell_length_a 7.187
_cell_length_b 7.187
_cell_length_c 7.755
_cell_angle_alpha 90.00
_cell_angle_beta 90.00
_cell_angle_gamma 90.00
_symmetry_space_group_name_H-M 'I -4'
_symmetry_Int_Tables_number 82
loop_
_symmetry_equiv_pos_as_xyz
'x,y,z'
'y,-x,-z'
'-x,-y,z'
'-y,x,-z'
'x+1/2,y+1/2,z+1/2'
'y+1/2,-x+1/2,-z+1/2'
'-x+1/2,-y+1/2,z+1/2'
'-y+1/2,x+1/2,-z+1/2'
loop_
_atom_site_label
_atom_site_type_symbol
_atom_site_fract_x
_atom_site_fract_y
_atom_site_fract_z
Ba1 Ba 0.000 0.000 0.000
Pd1 Pd 0.000 0.500 0.750
Cl1 Cl 0.228 0.270 0.749
```



Entry 9:
Structure and theoretical powder diffractogram of TiGaIrPt (a DFT-relaxed cell (PBE, Alexandria); a wavelength of 1.5418 Å).

Top 10 peaks for 10 to 90 degrees two-theta, in order of rising 2θ:
2θ (°)	intensity
23.93	25
31.60	25
40.02	100
45.29	35
48.99	14
51.86	13
65.98	11
68.92	20
80.04	26
85.51	11

Structure:
```
data_TiGaIrPt
_chemical_formula_sum 'Ti2 Ga2 Ir2 Pt2'
_cell_length_a 4.005
_cell_length_b 4.005
_cell_length_c 7.438
_cell_angle_alpha 90.00
_cell_angle_beta 90.00
_cell_angle_gamma 90.00
_symmetry_space_group_name_H-M 'I -4 m 2'
_symmetry_Int_Tables_number 119
_symmetry_space_group_name_Hall 'I -4 -2'
loop_
_atom_site_label
_atom_site_type_symbol
_atom_site_fract_x
_atom_site_fract_y
_atom_site_fract_z
Ti1 Ti 0.000 0.000 0.000
Ga1 Ga 0.000 0.000 0.500
Ir1 Ir 0.000 0.500 0.750
Pt1 Pt 0.000 0.500 0.250
```



Entry 10:
Structure and theoretical powder diffractogram of SiBiP (a DFT-relaxed cell (PBE, Alexandria); a wavelength of 1.5418 Å).

Top 10 peaks for 10 to 90 degrees two-theta, in order of rising 2θ:
2θ (°)	intensity
16.65	75
20.54	37
25.57	64
27.16	100
27.51	59
33.90	34
34.67	37
41.10	56
43.03	37
50.35	24

Structure:
```
data_SiBiP
_chemical_formula_sum 'Si2 Bi2 P2'
_cell_length_a 10.674
_cell_length_b 3.452
_cell_length_c 4.336
_cell_angle_alpha 90.00
_cell_angle_beta 94.19
_cell_angle_gamma 90.00
_symmetry_space_group_name_H-M 'C 1 m 1'
_symmetry_Int_Tables_number 8
loop_
_symmetry_equiv_pos_as_xyz
'x,y,z'
'x,-y,z'
'x+1/2,y+1/2,z'
'x+1/2,-y+1/2,z'
loop_
_atom_site_label
_atom_site_type_symbol
_atom_site_fract_x
_atom_site_fract_y
_atom_site_fract_z
Si1 Si 0.000 0.000 0.000
Bi1 Bi 0.176 0.000 0.541
P1 P 0.372 0.000 0.044
```



Entry 11:
Structure and theoretical powder diffractogram of ZnNi3Ir2 (a DFT-relaxed cell (PBE, Alexandria); a wavelength of 1.5418 Å).

Top 10 peaks for 10 to 90 degrees two-theta, in order of rising 2θ:
2θ (°)	intensity
20.30	20
22.73	14
26.08	16
42.27	100
42.33	50
42.51	49
48.68	66
50.52	29
72.95	19
86.58	18

Structure:
```
data_ZnNi3Ir2
_chemical_formula_sum 'Zn2 Ni6 Ir4'
_cell_length_a 4.562
_cell_length_b 5.190
_cell_length_c 6.929
_cell_angle_alpha 99.43
_cell_angle_beta 95.76
_cell_angle_gamma 108.24
_symmetry_space_group_name_H-M 'P -1'
_symmetry_Int_Tables_number 2
loop_
_symmetry_equiv_pos_as_xyz
'x,y,z'
'-x,-y,-z'
loop_
_atom_site_label
_atom_site_type_symbol
_atom_site_fract_x
_atom_site_fract_y
_atom_site_fract_z
Zn1 Zn 0.234 0.112 0.252
Ni1 Ni 0.245 0.288 0.915
Ni2 Ni 0.250 0.961 0.583
Ni3 Ni 0.257 0.626 0.251
Ir1 Ir 0.249 0.460 0.587
Ir2 Ir 0.259 0.781 0.919
```



Entry 12:
Structure and theoretical powder diffractogram of Pm4Se3Cl (a DFT-relaxed cell (PBE, Alexandria); a wavelength of 1.5418 Å).

Top 10 peaks for 10 to 90 degrees two-theta, in order of rising 2θ:
2θ (°)	intensity
25.95	19
30.36	100
42.78	39
44.13	35
53.36	20
63.15	12
70.69	17
72.64	15
78.36	7
79.31	12

Structure:
```
data_Pm4Se3Cl
_chemical_formula_sum 'Pm12 Se9 Cl3'
_cell_length_a 4.2271
_cell_length_b 4.2271
_cell_length_c 39.6471
_cell_angle_alpha 90.00
_cell_angle_beta 90.00
_cell_angle_gamma 120.00
_symmetry_space_group_name_H-M 'R -3 m'
_symmetry_Int_Tables_number 166
_symmetry_space_group_name_Hall '-R 3 2"'
loop_
_atom_site_label
_atom_site_type_symbol
_atom_site_fract_x
_atom_site_fract_y
_atom_site_fract_z
Pm1 Pm 0.0000 0.0000 0.1225
Pm2 Pm 0.0000 0.0000 0.3754
Se1 Se 0.0000 0.0000 0.2518
Se2 Se 0.0000 0.0000 0.5000
Cl1 Cl 0.0000 0.0000 0.0000
```



Entry 13:
Structure and theoretical powder diffractogram of TmZrCo10 (a DFT-relaxed cell (PBE, Alexandria); a wavelength of 1.5418 Å).

Top 10 peaks for 10 to 90 degrees two-theta, in order of rising 2θ:
2θ (°)	intensity
31.13	45
37.30	30
43.34	34
43.98	100
45.85	29
60.52	14
64.92	19
71.91	21
79.52	15
83.52	14

Structure:
```
data_TmZrCo10
_chemical_formula_sum 'Tm1 Zr1 Co10'
_cell_length_a 3.959
_cell_length_b 4.821
_cell_length_c 8.351
_cell_angle_alpha 90.00
_cell_angle_beta 90.00
_cell_angle_gamma 90.00
_symmetry_space_group_name_H-M 'P m m m'
_symmetry_Int_Tables_number 47
loop_
_symmetry_equiv_pos_as_xyz
'x,y,z'
'-x,-y,-z'
'-x,-y,z'
'x,y,-z'
'x,-y,-z'
'-x,y,z'
'-x,y,-z'
'x,-y,z'
loop_
_atom_site_label
_atom_site_type_symbol
_atom_site_fract_x
_atom_site_fract_y
_atom_site_fract_z
Tm1 Tm 0.000 0.000 0.000
Zr1 Zr 0.000 0.500 0.500
Co1 Co 0.000 0.000 0.340
Co2 Co 0.000 0.500 0.174
Co3 Co 0.500 0.000 0.500
Co4 Co 0.500 0.252 0.253
Co5 Co 0.500 0.500 0.000
```